Computed XRD peak list of TbZrNbN3 for copper Kα, from a PBE-relaxed structure.
Neutral-atom scattering factors, no anomalous dispersion.

Most intense lines, 2θ from 10° to 90°, in order of rising 2θ:
(2 0 -1), d 2.811, 31.8°, intensity 48
(0 0 3), d 2.748, 32.6°, intensity 31
(1 0 -3), d 2.709, 33.1°, intensity 21
(1 1 1), d 2.576, 34.8°, intensity 97
(1 1 -2), d 2.457, 36.6°, intensity 100
(2 0 2), d 2.089, 43.3°, intensity 26
(0 1 4), d 1.744, 52.5°, intensity 18
(0 2 0), d 1.636, 56.2°, intensity 24
(3 1 0), d 1.603, 57.5°, intensity 22
(4 0 -1), d 1.414, 66.1°, intensity 16

Atomic structure:
```
TbZrNbN3
1.0
5.6597 0.0000 0.0000
0.0000 3.2724 0.0000
-1.8601 0.0000 8.2426
Tb Zr Nb N
2 2 2 6
Cartesian
0.4792 0.8181 1.5679
3.3204 2.4543 6.6747
0.4903 2.4543 4.5260
3.3093 0.8181 3.7165
0.5101 0.8181 7.1525
3.2895 2.4543 1.0901
-0.9028 0.8181 5.4529
-0.4756 2.4543 8.1772
1.9548 2.4543 2.8246
1.8448 0.8181 5.4180
4.2752 0.8181 0.0653
4.7024 2.4543 2.7897
```

Computed XRD peak list of NbTe2N2 for copper Kα, from a PBE-relaxed structure.
Neutral-atom scattering factors, no anomalous dispersion.

Most intense lines, 2θ from 10° to 90°, in order of rising 2θ:
(0 0 1), d 6.129, 14.5°, intensity 43
(1 0 0), d 4.127, 21.5°, intensity 23
(1 0 1), d 3.423, 26.0°, intensity 29
(0 0 2), d 3.064, 29.1°, intensity 80
(1 1 0), d 2.918, 30.6°, intensity 100
(1 1 1), d 2.635, 34.0°, intensity 49
(1 1 2), d 2.113, 42.8°, intensity 81
(2 0 0), d 2.064, 43.9°, intensity 50
(2 0 2), d 1.712, 53.5°, intensity 55
(3 1 2), d 1.201, 79.9°, intensity 26

Atomic structure:
```
NbTe2N2
1.0
4.1272 0.0000 0.0000
0.0000 4.1272 0.0000
0.0000 0.0000 6.1289
Nb Te N
1 2 2
Cartesian
0.0000 0.0000 0.0000
0.0000 0.0000 3.0644
2.0636 2.0636 3.0644
0.0000 2.0636 0.0000
2.0636 0.0000 0.0000
```

Computed XRD peak list of NbTe2WN for copper Kα, from a PBE-relaxed structure.
Neutral-atom scattering factors, no anomalous dispersion.

Most intense lines, 2θ from 10° to 90°, in order of rising 2θ:
(0 0 1), d 3.783, 23.5°, intensity 41
(1 0 1), d 3.107, 28.7°, intensity 68
(2 0 0), d 2.723, 32.9°, intensity 100
(1 1 1), d 2.699, 33.2°, intensity 21
(2 0 1), d 2.210, 40.8°, intensity 39
(2 1 1), d 2.048, 44.2°, intensity 42
(2 2 0), d 1.925, 47.2°, intensity 36
(2 2 1), d 1.716, 53.4°, intensity 18
(2 0 2), d 1.553, 59.5°, intensity 36
(2 2 2), d 1.349, 69.7°, intensity 22

Atomic structure:
```
NbTe2WN
1.0
5.4451 0.0000 0.0000
0.0000 5.4451 0.0000
0.0000 0.0000 3.7831
Nb Te W N
1 2 1 1
Cartesian
0.0000 0.0000 0.0000
0.0000 2.7226 1.8916
2.7226 0.0000 1.8916
2.7226 2.7226 1.8916
2.7226 2.7226 0.0000
```